SrPrFe2O6: calculated PXRD pattern (a wavelength of 1.5418 Å), based on a DFT-relaxed cell (GGA+U, Alexandria).
No peak broadening, texture or thermal motion is included.

Unit cell a=7.8385 b=5.5646 c=5.5606 alpha=90.00 beta=90.00 gamma=90.00
Space group Pmn2_1 (No. 31)
Inequivalent atoms, fractional coordinates:
Sr1 0.0000 0.2306 0.0000 (multiplicity 2)
Pr1 0.0000 0.7153 0.4878 (multiplicity 2)
Fe1 0.2502 0.2466 0.4970 (multiplicity 4)
O1 0.0000 0.2653 0.5500 (multiplicity 2)
O2 0.0000 0.7565 0.9222 (multiplicity 2)
O3 0.2127 0.9675 0.2800 (multiplicity 4)
O4 0.2182 0.4820 0.2305 (multiplicity 4)

Main lines, low angle first (2θ = 10–80°):
two_theta	I_rel	h k l
32.22	100	2 1 1
39.74	14	2 0 2
46.16	21	0 2 2
57.42	25	2 1 3
57.53	14	4 0 2
67.47	11	4 2 2